No. 1
This entry pairs a crystal structure of Er2Cu15Pd2 with its computed X-ray powder pattern. Radiation: λ = 1.5418 Å (Cu Kα). Structure: a PBE-relaxed structure.
Peak positions follow from Bragg's law for the DFT cell and can differ from measured ones.

Crystal structure
a b c (Å): 8.6171 8.6171 12.4740
angles (deg): 90.00 90.00 120.00
Space group R-3m (No. 166, hexagonal axes)
One atom of each set of equivalent atoms:
Er 0.0000 0.0000 0.1632
Cu 0.0000 0.2988 0.5000
Cu 0.0000 0.5000 0.0000
Cu 0.0057 0.5028 0.6522
Pd 0.0000 0.0000 0.3935

Principal peaks in the range 2θ from 5° to 70°, in order of rising 2θ:
d 2.992, rel. 23.9, (1 1 3); d 2.488, rel. 59.7, (3 0 0); d 2.393, rel. 37.6, (0 2 4); d 2.154, rel. 78.6, (2 2 0); d 2.135, rel. 100.0, (0 3 3); d 2.092, rel. 23.9, (2 1 4); d 2.079, rel. 32.6, (0 0 6); d 2.074, rel. 26.8, (2 0 5); d 1.913, rel. 32.1, (2 2 3); d 1.496, rel. 17.8, (2 2 6)

No. 2
This entry pairs a crystal structure of AcYErSe3 with its computed X-ray powder pattern. Radiation: λ = 1.5418 Å (Cu Kα). Structure: a PBE-relaxed structure.
Peak positions follow from Bragg's law for the DFT cell and can differ from measured ones.

Crystal structure
a b c (Å): 8.158 4.155 10.465
angles (deg): 90.00 104.84 90.00
Space group P2_1/m (No. 11)
One atom of each set of equivalent atoms:
Ac 0.188 0.250 0.213
Y 0.169 0.250 0.626
Er 0.336 0.750 0.906
Se 0.101 0.250 0.892
Se 0.204 0.750 0.446
Se 0.483 0.750 0.188

Principal peaks in the range 2θ from 5° to 70°, in order of rising 2θ:
d 10.116, rel. 90.1, (0 0 1); d 3.943, rel. 34.8, (2 0 0); d 3.435, rel. 37.3, (1 0 -3); d 3.211, rel. 46.1, (0 1 2); d 3.159, rel. 55.7, (1 1 -2); d 2.897, rel. 100.0, (2 1 -1); d 2.860, rel. 92.5, (2 1 0); d 2.818, rel. 35.2, (1 1 2); d 2.312, rel. 50.5, (2 1 2); d 2.078, rel. 52.6, (0 2 0)